This entry pairs a crystal structure of BaCeNpN3 with its theoretical powder diffractogram. Radiation: Cu Ka. Structure: the GGA-PBE geometry in Alexandria.
Peak positions follow from Bragg's law for the DFT cell and can differ from measured ones.

Main lines, sorted by position (10 to 80 degrees two-theta):
| index | 2θ (°) | I (rel.) |
| --- | --- | --- |
| 1 0 -1 | 13.72 | 100.0 |
| 1 0 1 | 18.00 | 31.2 |
| 1 0 -3 | 26.80 | 31.6 |
| 2 0 -2 | 27.65 | 63.3 |
| 1 1 1 | 30.42 | 94.5 |
| 1 1 -3 | 36.47 | 45.7 |

Cell and atoms:
Cell lengths 7.0045, 3.6664, 10.2030 Å; angles 90.00, 106.39, 90.00 degrees
Space group P2_1/m (No. 11)
Asymmetric unit:
Ba (0.2454, 0.2500, 0.2187) [2 per cell]
Ce (0.3236, 0.2500, 0.8723) [2 per cell]
Np (0.1026, 0.7500, 0.5709) [2 per cell]
N (0.0145, 0.2500, 0.6793) [2 per cell]
N (0.3311, 0.7500, 0.0255) [2 per cell]
N (0.3572, 0.7500, 0.7222) [2 per cell]